Diffraction record for Cs3Se2O8. The PXRD pattern is calculated, not measured: it uses a PBE-relaxed structure and copper Kα.
Neutral-atom scattering factors, no anomalous dispersion.

Structural model:
```
Cs3Se2O8
1.0
5.5660 -3.2169 0.0000
5.5660 3.2169 0.0000
-3.1764 0.0000 8.0191
Cs Se O
3 2 8
Direct
0.0000 0.0000 0.0000
0.1988 0.1988 0.6117
0.8012 0.8012 0.3883
0.4302 0.4302 0.2322
0.5698 0.5698 0.7678
0.2704 0.6989 0.6894
0.2886 0.2886 0.2590
0.3011 0.7296 0.3106
0.3875 0.3875 0.0198
0.6125 0.6125 0.9802
0.6989 0.2704 0.6894
0.7114 0.7114 0.7410
0.7296 0.3011 0.3106
```

Main lines, in order of falling intensity (10 to 80 degrees two-theta):
Position (°2θ)	Rel. int.
27.78	100
24.86	88
23.65	45
36.76	36
40.34	19
38.49	13